Calculated powder diffraction line list
Compound: Sm4YPd2
Radiation: Cu Kα (weighted mean of Kα1 and Kα2)
Structure: DFT lattice parameters and positions (PBE)

Structure:
```
Sm4YPd2
1.0
7.9718 0.0000 0.0000
0.0000 6.4689 0.0000
-3.2724 0.0000 7.5929
Sm Y Pd
8 2 4
Cartesian
-1.1283 1.6172 2.9605
0.8162 4.8517 2.6386
0.7241 0.0433 5.8751
0.7241 3.1911 5.8751
3.9753 3.2778 1.7178
3.9753 6.4256 1.7178
3.8832 1.6172 4.9543
5.8277 4.8517 4.6324
1.1547 1.6172 0.2197
3.5447 4.8517 7.3732
-1.4458 4.8517 7.5245
1.6686 1.6172 3.1458
3.0307 4.8517 4.4472
6.1452 1.6172 0.0684
```

Top 6 peaks for 2θ from 15° to 90°, by intensity:
2θ (°), intensity
34.20, 100
36.49, 94
30.21, 93
30.63, 91
30.51, 89
33.84, 87

=====

Calculated powder diffraction line list
Compound: SmZn4Pd6
Radiation: Cu Kα (weighted mean of Kα1 and Kα2)
Structure: DFT lattice parameters and positions (PBE)

Structure:
```
SmZn4Pd6
1.0
-3.1743 3.1743 4.8265
3.1743 -3.1743 4.8265
3.1743 3.1743 -4.8265
Sm Zn Pd
1 4 6
Cartesian
0.0000 0.0000 0.0000
2.1775 2.1775 -0.8799
0.9967 -0.9967 5.7064
0.9967 0.9967 3.9465
-0.9967 0.9967 5.7064
3.1743 0.0000 0.0000
1.3777 -1.3777 3.0504
1.7966 1.7966 1.7760
0.0000 3.1743 0.0000
-1.3777 1.3777 3.0504
1.3777 1.3777 6.6025
```

Top 6 peaks for 2θ from 15° to 90°, by intensity:
2θ (°), intensity
33.80, 100
42.51, 74
40.18, 53
32.88, 35
43.80, 33
59.90, 27